1.
This entry pairs a crystal structure of Ce5CuRu6 with its simulated powder diffractogram. Radiation: CuKα. Structure: a DFT-relaxed cell (PBE, Alexandria).
Lines closer than 0.1° are merged.

Structural model:
```
data_Ce5CuRu6
_chemical_formula_sum 'Ce5 Cu1 Ru6'
_cell_length_a 4.611
_cell_length_b 6.797
_cell_length_c 8.214
_cell_angle_alpha 114.38
_cell_angle_beta 101.52
_cell_angle_gamma 90.14
_space_group_name_H-M_alt 'P -1'
_space_group_IT_number 2
loop_
_space_group_symop_operation_xyz
'x,y,z'
'-x,-y,-z'
loop_
_atom_site_label
_atom_site_type_symbol
_atom_site_fract_x
_atom_site_fract_y
_atom_site_fract_z
Ce1 Ce 0.000 0.000 0.000
Ce2 Ce 0.368 0.815 0.630
Ce3 Ce 0.373 0.362 0.723
Cu1 Cu 0.000 0.500 0.000
Ru1 Ru 0.111 0.411 0.319
Ru2 Ru 0.111 0.907 0.319
Ru3 Ru 0.499 0.218 0.999
```

Largest 8 diffraction maxima, low angle first, 10 to 90 degrees two-theta:
| index | 2θ/deg | Rel. int. |
| --- | --- | --- |
| 0 1 2 | 33.41 | 17 |
| 1 -2 2 | 36.87 | 100 |
| 0 0 3 | 36.95 | 41 |
| 1 2 -3 | 38.65 | 86 |
| 2 0 -1 | 39.24 | 40 |
| 2 0 2 | 52.28 | 13 |
| 0 4 -2 | 53.95 | 19 |
| 2 0 -4 | 57.63 | 13 |

=====

2.
This entry pairs a crystal structure of Pr3Y2Tm6 with its simulated powder diffractogram. Radiation: CuKα. Structure: a DFT-relaxed cell (PBE, Alexandria).
Lines closer than 0.1° are merged.

Structural model:
```
data_Pr3Y2Tm6
_chemical_formula_sum 'Pr6 Y4 Tm12'
_cell_length_a 4.742
_cell_length_b 4.742
_cell_length_c 33.374
_cell_angle_alpha 90.00
_cell_angle_beta 90.00
_cell_angle_gamma 90.00
_space_group_name_H-M_alt 'I 4/m m m'
_space_group_IT_number 139
_space_group_name_Hall '-I 4 2'
loop_
_atom_site_label
_atom_site_type_symbol
_atom_site_fract_x
_atom_site_fract_y
_atom_site_fract_z
Pr1 Pr 0.000 0.000 0.000
Pr2 Pr 0.000 0.000 0.206
Y1 Y 0.000 0.000 0.453
Tm1 Tm 0.000 0.000 0.309
Tm2 Tm 0.000 0.500 0.121
```

Largest 8 diffraction maxima, low angle first, 10 to 90 degrees two-theta:
| index | 2θ/deg | Rel. int. |
| --- | --- | --- |
| 1 1 4 | 28.69 | 100 |
| 1 0 9 | 30.61 | 23 |
| 1 1 8 | 34.31 | 77 |
| 2 0 0 | 37.96 | 64 |
| 2 0 12 | 50.59 | 21 |
| 2 2 0 | 54.76 | 20 |
| 3 1 4 | 62.98 | 22 |
| 3 1 8 | 66.23 | 23 |